# 1
Structure and theoretical powder diffractogram of Cs2UCl5 (a crystal structure in Alexandria, relaxed with PBE; Cu Kα (λ = 1.5418 Å)).
Neutral-atom scattering factors, no anomalous dispersion.

Crystal structure
a b c (Å): 10.067 7.746 15.685
angles (deg): 90.00 90.00 90.00
Element x y z (fractional)
Cs1 0.021 0.250 0.216
Cs2 0.158 0.750 0.417
Cs3 0.342 0.250 0.917
Cs4 0.479 0.750 0.716
Cs5 0.521 0.250 0.284
Cs6 0.658 0.750 0.083
Cs7 0.842 0.250 0.583
Cs8 0.979 0.750 0.784
U1 0.180 0.750 0.062
U2 0.320 0.250 0.562
U3 0.680 0.750 0.438
U4 0.820 0.250 0.938
Cl1 0.000 0.000 0.000
Cl2 0.000 0.500 0.000
Cl3 0.032 0.750 0.206
Cl4 0.157 0.506 0.613
Cl5 0.157 0.994 0.613
Cl6 0.219 0.250 0.399
Cl7 0.281 0.750 0.899
Cl8 0.343 0.006 0.113
Cl9 0.343 0.494 0.113
Cl10 0.468 0.250 0.706
Cl11 0.500 0.000 0.500
Cl12 0.500 0.500 0.500
Cl13 0.532 0.750 0.294
Cl14 0.657 0.506 0.887
Cl15 0.657 0.994 0.887
Cl16 0.719 0.250 0.101
Cl17 0.781 0.750 0.601
Cl18 0.843 0.006 0.387
Cl19 0.843 0.494 0.387
Cl20 0.968 0.250 0.794

The 10 most intense peaks (10° ≤ 2θ ≤ 90°), in order of rising 2θ:
two_theta, Rel. int.
15.5, 38
20.5, 100
21.0, 87
21.8, 27
23.0, 54
23.9, 38
29.6, 35
31.3, 49
33.9, 39
46.4, 32

# 2
Structure and theoretical powder diffractogram of Cs5U2Cl12 (a crystal structure in Alexandria, relaxed with PBE; Cu Kα (λ = 1.5418 Å)).
Neutral-atom scattering factors, no anomalous dispersion.

Crystal structure
a b c (Å): 9.774 9.774 9.795
angles (deg): 115.63 115.63 61.49
Element x y z (fractional)
Cs1 0.000 0.000 0.000
Cs2 0.265 0.265 0.527
Cs3 0.306 0.306 0.991
Cs4 0.694 0.694 0.009
Cs5 0.735 0.735 0.473
U1 0.249 0.751 0.500
U2 0.751 0.249 0.500
Cl1 0.087 0.087 0.669
Cl2 0.111 0.518 0.279
Cl3 0.130 0.716 0.687
Cl4 0.284 0.870 0.313
Cl5 0.482 0.889 0.721
Cl6 0.496 0.496 0.655
Cl7 0.504 0.504 0.345
Cl8 0.518 0.111 0.279
Cl9 0.716 0.130 0.687
Cl10 0.870 0.284 0.313
Cl11 0.889 0.482 0.721
Cl12 0.913 0.913 0.331

The 10 most intense peaks (10° ≤ 2θ ≤ 90°), in order of rising 2θ:
two_theta, Rel. int.
10.5, 100
11.4, 49
20.6, 62
21.0, 52
21.2, 60
21.6, 96
22.9, 45
25.5, 60
34.5, 44
42.0, 45

# 3
Structure and theoretical powder diffractogram of CsU2Cl8 (a crystal structure in Alexandria, relaxed with PBE; Cu Kα (λ = 1.5418 Å)).
Neutral-atom scattering factors, no anomalous dispersion.

Crystal structure
a b c (Å): 8.845 8.845 8.845
angles (deg): 144.61 130.12 62.64
Element x y z (fractional)
Cs1 0.000 0.000 0.000
U1 0.341 0.341 0.000
U2 0.659 0.659 0.000
Cl1 0.048 0.948 0.587
Cl2 0.285 0.500 0.785
Cl3 0.360 0.461 0.413
Cl4 0.395 0.895 0.500
Cl5 0.605 0.105 0.500
Cl6 0.640 0.052 0.101
Cl7 0.715 0.500 0.215
Cl8 0.952 0.539 0.899

The 10 most intense peaks (10° ≤ 2θ ≤ 90°), in order of rising 2θ:
two_theta, Rel. int.
13.2, 27
20.4, 100
21.3, 93
23.9, 36
24.2, 56
33.3, 19
34.2, 79
39.9, 73
40.5, 37
41.4, 75

# 4
Structure and theoretical powder diffractogram of Cs4UCl7 (a crystal structure in Alexandria, relaxed with PBE; Cu Kα (λ = 1.5418 Å)).
Neutral-atom scattering factors, no anomalous dispersion.

Crystal structure
a b c (Å): 9.245 9.245 12.163
angles (deg): 122.23 122.23 35.56
Element x y z (fractional)
Cs1 0.076 0.076 0.258
Cs2 0.232 0.232 0.846
Cs3 0.768 0.768 0.154
Cs4 0.924 0.924 0.742
U1 0.500 0.500 0.500
Cl1 0.000 0.000 0.500
Cl2 0.138 0.138 0.039
Cl3 0.331 0.331 0.459
Cl4 0.429 0.429 0.235
Cl5 0.571 0.571 0.765
Cl6 0.669 0.669 0.541
Cl7 0.862 0.862 0.961

The 10 most intense peaks (10° ≤ 2θ ≤ 90°), in order of rising 2θ:
two_theta, Rel. int.
10.2, 32
17.4, 15
18.6, 26
20.6, 20
21.8, 100
23.9, 25
29.1, 22
30.4, 30
31.7, 30
44.5, 21

# 5
Structure and theoretical powder diffractogram of Cs2VCl7 (a crystal structure in Alexandria, relaxed with PBE; Cu Kα (λ = 1.5418 Å)).
Neutral-atom scattering factors, no anomalous dispersion.

Crystal structure
a b c (Å): 9.399 9.399 13.202
angles (deg): 125.30 125.30 47.68
Element x y z (fractional)
Cs1 0.055 0.671 0.952
Cs2 0.329 0.945 0.548
Cs3 0.671 0.055 0.452
Cs4 0.945 0.329 0.048
V1 0.274 0.726 0.750
V2 0.726 0.274 0.250
Cl1 0.081 0.109 0.271
Cl2 0.109 0.081 0.771
Cl3 0.200 0.647 0.532
Cl4 0.221 0.464 0.694
Cl5 0.353 0.800 0.968
Cl6 0.406 0.594 0.250
Cl7 0.464 0.221 0.194
Cl8 0.536 0.779 0.806
Cl9 0.594 0.406 0.750
Cl10 0.647 0.200 0.032
Cl11 0.779 0.536 0.306
Cl12 0.800 0.353 0.468
Cl13 0.891 0.919 0.229
Cl14 0.919 0.891 0.729

The 10 most intense peaks (10° ≤ 2θ ≤ 90°), in order of rising 2θ:
two_theta, Rel. int.
18.1, 100
20.7, 44
23.6, 30
26.8, 26
28.4, 48
29.3, 34
31.0, 25
31.1, 24
31.4, 39
38.3, 32

# 6
Structure and theoretical powder diffractogram of Cs6V3Cl14 (a crystal structure in Alexandria, relaxed with PBE; Cu Kα (λ = 1.5418 Å)).
Neutral-atom scattering factors, no anomalous dispersion.

Crystal structure
a b c (Å): 12.390 12.390 6.637
angles (deg): 90.00 90.00 120.00
Element x y z (fractional)
Cs1 0.018 0.449 0.000
Cs2 0.312 0.220 0.471
Cs3 0.431 0.982 0.000
Cs4 0.551 0.569 0.000
Cs5 0.780 0.093 0.471
Cs6 0.907 0.688 0.471
V1 0.000 0.000 0.030
V2 0.333 0.667 0.557
V3 0.667 0.333 0.722
Cl1 0.000 0.000 0.685
Cl2 0.061 0.193 0.158
Cl3 0.132 0.939 0.158
Cl4 0.205 0.732 0.680
Cl5 0.268 0.473 0.680
Cl6 0.333 0.667 0.213
Cl7 0.478 0.272 0.929
Cl8 0.527 0.795 0.680
Cl9 0.538 0.144 0.517
Cl10 0.606 0.462 0.517
Cl11 0.728 0.206 0.929
Cl12 0.794 0.522 0.929
Cl13 0.807 0.868 0.158
Cl14 0.856 0.394 0.517

The 10 most intense peaks (10° ≤ 2θ ≤ 90°), in order of rising 2θ:
two_theta, Rel. int.
19.6, 53
21.3, 100
21.9, 21
30.0, 46
31.7, 21
33.0, 61
34.9, 26
40.7, 25
40.9, 21
44.3, 22

# 7
Structure and theoretical powder diffractogram of CsW3Cl9 (a crystal structure in Alexandria, relaxed with PBE; Cu Kα (λ = 1.5418 Å)).
Neutral-atom scattering factors, no anomalous dispersion.

Crystal structure
a b c (Å): 9.878 9.878 8.781
angles (deg): 90.00 90.00 120.00
Element x y z (fractional)
Cs1 0.333 0.667 0.000
Cs2 0.667 0.333 0.000
W1 0.000 0.175 0.380
W2 0.000 0.825 0.620
W3 0.175 0.000 0.380
W4 0.175 0.175 0.620
W5 0.825 0.000 0.620
W6 0.825 0.825 0.380
Cl1 0.000 0.193 0.805
Cl2 0.000 0.807 0.195
Cl3 0.001 0.623 0.792
Cl4 0.193 0.000 0.805
Cl5 0.193 0.193 0.195
Cl6 0.203 0.407 0.500
Cl7 0.204 0.797 0.500
Cl8 0.377 0.378 0.792
Cl9 0.378 0.001 0.208
Cl10 0.407 0.204 0.500
Cl11 0.593 0.796 0.500
Cl12 0.622 0.999 0.792
Cl13 0.623 0.622 0.208
Cl14 0.796 0.203 0.500
Cl15 0.797 0.593 0.500
Cl16 0.807 0.000 0.195
Cl17 0.807 0.807 0.805
Cl18 0.999 0.377 0.208

The 10 most intense peaks (10° ≤ 2θ ≤ 90°), in order of rising 2θ:
two_theta, Rel. int.
10.1, 33
10.3, 100
14.5, 79
20.6, 15
27.6, 13
33.0, 13
34.4, 38
37.9, 16
41.6, 21
42.0, 24

# 8
Structure and theoretical powder diffractogram of Cs2WCl7 (a crystal structure in Alexandria, relaxed with PBE; Cu Kα (λ = 1.5418 Å)).
Neutral-atom scattering factors, no anomalous dispersion.

Crystal structure
a b c (Å): 7.963 7.963 7.963
angles (deg): 60.00 60.00 60.00
Element x y z (fractional)
Cs1 0.250 0.250 0.250
Cs2 0.750 0.750 0.750
W1 0.000 0.000 0.000
Cl1 0.209 0.209 0.791
Cl2 0.209 0.791 0.209
Cl3 0.209 0.791 0.791
Cl4 0.500 0.500 0.500
Cl5 0.791 0.209 0.209
Cl6 0.791 0.209 0.791
Cl7 0.791 0.791 0.209

The 10 most intense peaks (10° ≤ 2θ ≤ 90°), in order of rising 2θ:
two_theta, Rel. int.
13.6, 46
22.3, 100
27.4, 13
31.8, 50
39.2, 40
41.7, 13
45.6, 32
51.3, 27
61.6, 28
88.5, 15